Computed X-ray powder pattern
Compound: Ca2Au3
Radiation: Cu Kα X-rays
Structure: a cell relaxed with PBE
Peak positions follow from Bragg's law for the DFT cell and can differ from measured ones.

Top 10 peaks for 2θ from 5° to 70°, sorted by position:
- 18.51°, intensity 17.3
- 23.42°, intensity 100.0
- 32.14°, intensity 66.2
- 37.16°, intensity 60.2
- 40.31°, intensity 28.9
- 41.99°, intensity 51.1
- 47.14°, intensity 22.3
- 47.45°, intensity 35.2
- 61.76°, intensity 27.5
- 63.97°, intensity 28.9

Cell and atoms:
Cell: 14.5067 14.5067 4.4746 Å, 90.00 90.00 164.82°
Fractional coordinates of all 10 atoms:
Ca  0.0718  0.9282  0.7500
Ca  0.2070  0.7930  0.2500
Ca  0.7930  0.2070  0.7500
Ca  0.9282  0.0718  0.2500
Au  0.3162  0.6838  0.2500
Au  0.3778  0.6222  0.7500
Au  0.4727  0.5273  0.7500
Au  0.5273  0.4727  0.2500
Au  0.6222  0.3778  0.2500
Au  0.6838  0.3162  0.7500